Record 1
Y2Ga3Fe14C2: simulated XRD peak list (Cu Kα (weighted mean of Kα1 and Kα2)), based on the GGA-PBE geometry in the Materials Project.
No peak broadening, texture or thermal motion is included.

Structure:
```
data_Y2Ga3Fe14C2
_symmetry_space_group_name_H-M 'P 1'
_symmetry_Int_Tables_number 1
_cell_length_a 6.579
_cell_length_b 6.579
_cell_length_c 6.604
_cell_angle_alpha 96.35
_cell_angle_beta 96.35
_cell_angle_gamma 82.86
loop_
_symmetry_equiv_pos_as_xyz
'x,y,z'
loop_
_atom_site_label
_atom_site_fract_x
_atom_site_fract_y
_atom_site_fract_z
Y1 0.153 0.153 0.340
Y2 0.847 0.847 0.660
Ga1 0.000 0.500 0.000
Ga2 0.500 0.000 0.000
Ga3 0.500 0.500 0.500
Fe1 0.153 0.651 0.344
Fe2 0.154 0.154 0.848
Fe3 0.209 0.791 0.000
Fe4 0.214 0.500 0.714
Fe5 0.349 0.847 0.656
Fe6 0.407 0.407 0.095
Fe7 0.500 0.214 0.714
Fe8 0.500 0.786 0.286
Fe9 0.593 0.593 0.905
Fe10 0.651 0.153 0.344
Fe11 0.786 0.500 0.286
Fe12 0.791 0.209 0.000
Fe13 0.846 0.846 0.152
Fe14 0.847 0.349 0.656
C1 0.000 0.500 0.500
C2 0.500 0.000 0.500
```

Largest 10 diffraction maxima, by angle, 2θ from 5° to 70°:
2θ = 29.35°, I = 22.6; 2θ = 35.61°, I = 30.3; 2θ = 37.07°, I = 19.6; 2θ = 41.07°, I = 78.9; 2θ = 41.43°, I = 46.5; 2θ = 41.49°, I = 36.9; 2θ = 41.73°, I = 100.0; 2θ = 42.90°, I = 85.3; 2θ = 46.60°, I = 51.8; 2θ = 46.97°, I = 26.7

***

Record 2
GdFeC2: simulated XRD peak list (Cu Kα (weighted mean of Kα1 and Kα2)), based on the GGA-PBE geometry in the Materials Project.
No peak broadening, texture or thermal motion is included.

Structure:
```
data_GdFeC2
_symmetry_space_group_name_H-M 'P 1'
_symmetry_Int_Tables_number 1
_cell_length_a 3.702
_cell_length_b 3.740
_cell_length_c 3.740
_cell_angle_alpha 74.98
_cell_angle_beta 90.00
_cell_angle_gamma 90.00
loop_
_symmetry_equiv_pos_as_xyz
'x,y,z'
loop_
_atom_site_label
_atom_site_fract_x
_atom_site_fract_y
_atom_site_fract_z
Gd1 0.000 0.000 0.000
Fe1 0.500 0.611 0.611
C1 0.500 0.142 0.450
C2 0.500 0.450 0.142
```

Largest 10 diffraction maxima, by angle, 2θ from 5° to 70°:
2θ = 24.64°, I = 33.0; 2θ = 30.11°, I = 20.3; 2θ = 34.70°, I = 100.0; 2θ = 38.89°, I = 24.4; 2θ = 39.59°, I = 17.6; 2θ = 49.23°, I = 11.7; 2θ = 50.28°, I = 16.4; 2θ = 50.53°, I = 13.3; 2θ = 56.70°, I = 13.3; 2θ = 68.68°, I = 12.8